1.
Diffraction record for TlP3O9. The powder X-ray diffraction pattern is computed, not measured: it uses the PBE geometry in Alexandria and a wavelength of 1.5418 Å.
Intensities are scaled so that the largest is 1000.

Crystal structure
```
data_TlP3O9
_space_group_name_H-M_alt 'C 2 2 21'
_space_group_IT_number 20
_cell_length_a 9.746
_cell_length_b 10.024
_cell_length_c 7.122
_cell_angle_alpha 90.00
_cell_angle_beta 90.00
_cell_angle_gamma 90.00
loop_
_space_group_symop_operation_xyz
'x,y,z'
'-x,-y,z+1/2'
'x,-y,-z'
'-x,y,-z+1/2'
'x+1/2,y+1/2,z'
'-x+1/2,-y+1/2,z+1/2'
'x+1/2,-y+1/2,-z'
'-x+1/2,y+1/2,-z+1/2'
loop_
_atom_site_label
_atom_site_fract_x
_atom_site_fract_y
_atom_site_fract_z
Tl1 0.209 0.000 0.000
P1 0.004 0.291 0.460
P2 0.213 0.500 0.000
O1 0.000 0.348 0.250
O2 0.036 0.148 0.029
O3 0.110 0.381 0.941
O4 0.144 0.326 0.540
O5 0.210 0.032 0.677
```

Peak list (6 most intense, 2θ = 5–70°, in order of rising 2θ)
d [Å], 2θ (°), I_rel, hkl
4.994, 17.76, 1000, 0 2 0
3.561, 25.00, 446, 0 0 2
3.494, 25.49, 647, 2 2 0
3.137, 28.45, 175, 2 2 1
2.494, 36.01, 318, 2 2 2
2.248, 40.11, 179, 1 1 3

2.
Diffraction record for Er8Ru3Pb2. The powder X-ray diffraction pattern is computed, not measured: it uses the PBE geometry in Alexandria and a wavelength of 1.5418 Å.
Intensities are scaled so that the largest is 1000.

Crystal structure
```
data_Er8Ru3Pb2
_space_group_name_H-M_alt 'C m m m'
_space_group_IT_number 65
_space_group_name_Hall '-C 2 2'
_cell_length_a 9.675
_cell_length_b 14.906
_cell_length_c 4.881
_cell_angle_alpha 90.00
_cell_angle_beta 90.00
_cell_angle_gamma 90.00
loop_
_atom_site_label
_atom_site_fract_x
_atom_site_fract_y
_atom_site_fract_z
Er1 0.000 0.107 0.000
Er2 0.000 0.389 0.000
Er3 0.245 0.392 0.500
Ru1 0.000 0.500 0.500
Ru2 0.248 0.500 0.000
Pb1 0.000 0.243 0.500
```

Peak list (6 most intense, 2θ = 5–70°, in order of rising 2θ)
d [Å], 2θ (°), I_rel, hkl
2.526, 35.54, 1000, 2 4 1
2.441, 36.82, 256, 0 0 2
2.419, 37.17, 248, 4 0 0
1.718, 53.32, 177, 4 0 2
1.425, 65.50, 181, 2 4 3
1.416, 65.96, 169, 6 4 1

3.
Diffraction record for K4Re2HCl10O. The powder X-ray diffraction pattern is computed, not measured: it uses the PBE geometry in Alexandria and a wavelength of 1.5418 Å.
Intensities are scaled so that the largest is 1000.

Crystal structure
```
data_K4Re2HCl10O
_space_group_name_H-M_alt 'I 4/m m m'
_space_group_IT_number 139
_space_group_name_Hall '-I 4 2'
_cell_length_a 7.216
_cell_length_b 7.216
_cell_length_c 18.082
_cell_angle_alpha 90.00
_cell_angle_beta 90.00
_cell_angle_gamma 90.00
loop_
_atom_site_label
_atom_site_fract_x
_atom_site_fract_y
_atom_site_fract_z
K1 0.000 0.500 0.000
K2 0.000 0.500 0.250
Re1 0.000 0.000 0.102
H1 0.000 0.000 0.500
Cl1 0.000 0.000 0.236
Cl2 0.235 0.235 0.110
O1 0.000 0.000 0.000
```

Peak list (6 most intense, 2θ = 5–70°, in order of rising 2θ)
d [Å], 2θ (°), I_rel, hkl
6.702, 13.21, 1000, 1 0 1
5.102, 17.38, 205, 1 1 0
3.384, 26.34, 267, 1 1 4
3.233, 27.59, 186, 1 0 5
3.177, 28.09, 259, 2 1 1
2.551, 35.18, 331, 2 2 0

4.
Diffraction record for Sc2CrSb. The powder X-ray diffraction pattern is computed, not measured: it uses the PBE geometry in Alexandria and a wavelength of 1.5418 Å.
Intensities are scaled so that the largest is 1000.

Crystal structure
```
data_Sc2CrSb
_space_group_name_H-M_alt 'R -3 m'
_space_group_IT_number 166
_space_group_name_Hall '-R 3 2"'
_cell_length_a 3.2830
_cell_length_b 3.2830
_cell_length_c 27.3372
_cell_angle_alpha 90.00
_cell_angle_beta 90.00
_cell_angle_gamma 120.00
loop_
_atom_site_label
_atom_site_fract_x
_atom_site_fract_y
_atom_site_fract_z
Sc1 0.0000 0.0000 0.2430
Cr1 0.0000 0.0000 0.5000
Sb1 0.0000 0.0000 0.0000
```

Peak list (6 most intense, 2θ = 5–70°, in order of rising 2θ)
d [Å], 2θ (°), I_rel, hkl
9.112, 9.71, 248, 0 0 3
4.556, 19.48, 148, 0 0 6
2.625, 34.16, 1000, 1 0 4
2.278, 39.56, 201, 0 0 12
2.186, 41.31, 558, 0 1 8
1.642, 56.02, 224, 1 1 0

5.
Diffraction record for TmPaCu2O8. The powder X-ray diffraction pattern is computed, not measured: it uses the PBE geometry in Alexandria and a wavelength of 1.5418 Å.
Intensities are scaled so that the largest is 1000.

Crystal structure
```
data_TmPaCu2O8
_space_group_name_H-M_alt 'I -4 m 2'
_space_group_IT_number 119
_space_group_name_Hall 'I -4 -2'
_cell_length_a 7.095
_cell_length_b 7.095
_cell_length_c 6.438
_cell_angle_alpha 90.00
_cell_angle_beta 90.00
_cell_angle_gamma 90.00
loop_
_atom_site_label
_atom_site_fract_x
_atom_site_fract_y
_atom_site_fract_z
Tm1 0.000 0.000 0.000
Pa1 0.000 0.500 0.250
Cu1 0.000 0.000 0.500
Cu2 0.000 0.500 0.750
O1 0.000 0.183 0.297
O2 0.000 0.321 0.958
```

Peak list (6 most intense, 2θ = 5–70°, in order of rising 2θ)
d [Å], 2θ (°), I_rel, hkl
4.768, 18.61, 474, 1 0 1
3.547, 25.10, 1000, 2 0 0
2.709, 33.06, 746, 1 1 2
2.508, 35.80, 257, 2 2 0
1.841, 49.52, 642, 3 1 2
1.484, 62.60, 192, 3 3 2

6.
Diffraction record for Ti2Zn2SnO7. The powder X-ray diffraction pattern is computed, not measured: it uses the PBE geometry in Alexandria and a wavelength of 1.5418 Å.
Intensities are scaled so that the largest is 1000.

Crystal structure
```
data_Ti2Zn2SnO7
_space_group_name_H-M_alt 'C m c 21'
_space_group_IT_number 36
_cell_length_a 14.090
_cell_length_b 7.450
_cell_length_c 6.648
_cell_angle_alpha 90.00
_cell_angle_beta 90.00
_cell_angle_gamma 90.00
loop_
_space_group_symop_operation_xyz
'x,y,z'
'-x,-y,z+1/2'
'-x,y,z'
'x,-y,z+1/2'
'x+1/2,y+1/2,z'
'-x+1/2,-y+1/2,z+1/2'
'-x+1/2,y+1/2,z'
'x+1/2,-y+1/2,z+1/2'
loop_
_atom_site_label
_atom_site_fract_x
_atom_site_fract_y
_atom_site_fract_z
Ti1 0.116 0.147 0.000
Zn1 0.197 0.500 0.250
Sn1 0.000 0.298 0.497
O1 0.000 0.003 0.999
O2 0.114 0.285 0.223
O3 0.115 0.285 0.778
O4 0.227 0.019 0.000
```

Peak list (6 most intense, 2θ = 5–70°, in order of rising 2θ)
d [Å], 2θ (°), I_rel, hkl
3.410, 26.13, 1000, 3 1 1
3.293, 27.08, 930, 2 2 0
3.006, 29.72, 623, 2 0 2
2.550, 35.20, 618, 3 1 2
2.450, 36.68, 533, 5 1 1
1.625, 56.63, 620, 5 3 2

7.
Diffraction record for Cs8In2O7. The powder X-ray diffraction pattern is computed, not measured: it uses the PBE geometry in Alexandria and a wavelength of 1.5418 Å.
Intensities are scaled so that the largest is 1000.

Crystal structure
```
data_Cs8In2O7
_space_group_name_H-M_alt 'P 1 21/c 1'
_space_group_IT_number 14
_cell_length_a 7.552
_cell_length_b 19.177
_cell_length_c 7.399
_cell_angle_alpha 90.00
_cell_angle_beta 118.71
_cell_angle_gamma 90.00
loop_
_space_group_symop_operation_xyz
'x,y,z'
'-x,-y,-z'
'-x,y+1/2,-z+1/2'
'x,-y+1/2,z+1/2'
loop_
_atom_site_label
_atom_site_fract_x
_atom_site_fract_y
_atom_site_fract_z
Cs1 0.142 0.085 0.495
Cs2 0.264 0.705 0.545
Cs3 0.267 0.504 0.536
Cs4 0.284 0.192 0.050
In1 0.354 0.598 0.000
O1 0.071 0.598 0.734
O2 0.344 0.606 0.279
O3 0.458 0.178 0.511
O4 0.500 0.000 0.500
```

Peak list (6 most intense, 2θ = 5–70°, in order of rising 2θ)
d [Å], 2θ (°), I_rel, hkl
3.512, 25.36, 152, 2 2 -1
3.312, 26.92, 245, 2 0 0
3.302, 27.01, 1000, 0 5 1
3.245, 27.49, 474, 0 0 2
3.215, 27.75, 235, 2 0 -2
2.690, 33.31, 409, 2 5 -1